Record 1
For Rb2NaNiF6, DFT lattice parameters and positions (PBE+U) gives the calculated powder diffractogram in this record (Cu Kα X-rays).
Lines closer than 0.1° are merged.

Structure:
```
data_Rb2NaNiF6
_space_group_name_H-M_alt 'P 1'
_space_group_IT_number 1
_cell_length_a 6.024
_cell_length_b 6.024
_cell_length_c 6.024
_cell_angle_alpha 60.00
_cell_angle_beta 60.00
_cell_angle_gamma 60.00
loop_
_space_group_symop_operation_xyz
'x,y,z'
loop_
_atom_site_label
_atom_site_type_symbol
_atom_site_fract_x
_atom_site_fract_y
_atom_site_fract_z
_atom_site_occupancy
Rb1 Rb 0.250 0.250 0.250 1
Rb2 Rb 0.750 0.750 0.750 1
Na1 Na 0.000 0.000 0.000 1
Ni1 Ni 0.500 0.500 0.500 1
F1 F 0.273 0.273 0.727 1
F2 F 0.273 0.727 0.273 1
F3 F 0.273 0.727 0.727 1
F4 F 0.727 0.273 0.273 1
F5 F 0.727 0.273 0.727 1
F6 F 0.727 0.727 0.273 1
```

Top 8 peaks for 2θ = 10–90°, in order of rising 2θ:
- d 4.918, 2θ 18.04, intensity 156
- d 3.012, 2θ 29.66, intensity 1000
- d 2.459, 2θ 36.54, intensity 284
- d 2.130, 2θ 42.44, intensity 493
- d 1.739, 2θ 52.63, intensity 376
- d 1.506, 2θ 61.58, intensity 283
- d 1.347, 2θ 69.83, intensity 185
- d 1.138, 2θ 85.25, intensity 209



Record 2
For Na2TlNiF6, DFT lattice parameters and positions (PBE+U) gives the calculated powder diffractogram in this record (Cu Kα X-rays).
Lines closer than 0.1° are merged.

Structure:
```
data_Na2TlNiF6
_space_group_name_H-M_alt 'P 1'
_space_group_IT_number 1
_cell_length_a 6.124
_cell_length_b 6.124
_cell_length_c 6.124
_cell_angle_alpha 60.00
_cell_angle_beta 60.00
_cell_angle_gamma 60.00
loop_
_space_group_symop_operation_xyz
'x,y,z'
loop_
_atom_site_label
_atom_site_type_symbol
_atom_site_fract_x
_atom_site_fract_y
_atom_site_fract_z
_atom_site_occupancy
Na1 Na 0.250 0.250 0.250 1
Na2 Na 0.750 0.750 0.750 1
Tl1 Tl 0.000 0.000 0.000 1
Ni1 Ni 0.500 0.500 0.500 1
F1 F 0.275 0.275 0.725 1
F2 F 0.275 0.725 0.275 1
F3 F 0.275 0.725 0.725 1
F4 F 0.725 0.275 0.275 1
F5 F 0.725 0.275 0.725 1
F6 F 0.725 0.725 0.275 1
```

Top 8 peaks for 2θ = 10–90°, in order of rising 2θ:
- d 5.000, 2θ 17.74, intensity 340
- d 4.330, 2θ 20.51, intensity 1000
- d 3.062, 2θ 29.17, intensity 966
- d 2.611, 2θ 34.34, intensity 318
- d 2.165, 2θ 41.72, intensity 422
- d 1.936, 2θ 46.92, intensity 422
- d 1.768, 2θ 51.71, intensity 384
- d 1.531, 2θ 60.47, intensity 250